(1)
Diffraction record for Tb3HoSc3. The powder diffractogram is computed, not measured: it uses a DFT-relaxed cell (PBE, Alexandria) and Cu Kα (weighted mean of Kα1 and Kα2).
Neutral-atom scattering factors, no anomalous dispersion.

Top 10 peaks for 2θ = 10–90°, sorted by position:
Position (°2θ), I/Imax
19.7, 14
25.3, 14
29.6, 28
32.8, 24
33.9, 100
44.7, 18
52.5, 19
59.3, 20
63.3, 21
64.0, 16

Crystal structure
```
Tb3HoSc3
1.0
9.2269 0.0000 0.0000
-4.6134 7.9907 0.0000
0.0000 0.0000 5.4598
Tb Ho Sc
6 2 6
Direct
0.0477 0.2457 0.2500
0.1980 0.9523 0.2500
0.2457 0.1980 0.7500
0.7543 0.8020 0.2500
0.8020 0.0477 0.7500
0.9523 0.7543 0.7500
0.3333 0.6667 0.2500
0.6667 0.3333 0.7500
0.0958 0.4816 0.7500
0.3859 0.9042 0.7500
0.4816 0.3859 0.2500
0.5184 0.6141 0.7500
0.6141 0.0958 0.2500
0.9042 0.5184 0.2500
```



(2)
Diffraction record for CuAu2Se3. The powder diffractogram is computed, not measured: it uses a DFT-relaxed cell (PBE, Alexandria) and Cu Kα (weighted mean of Kα1 and Kα2).
Neutral-atom scattering factors, no anomalous dispersion.

Top 10 peaks for 2θ = 10–90°, sorted by position:
Position (°2θ), I/Imax
23.1, 51
23.3, 100
28.5, 41
32.6, 86
40.5, 47
40.7, 91
41.1, 45
53.1, 84
53.5, 41
82.7, 24

Crystal structure
```
CuAu2Se3
1.0
6.5858 -3.8528 0.0000
6.5858 3.8528 0.0000
0.0000 0.0000 5.4874
Cu Au Se
2 4 6
Direct
0.1700 0.8300 0.7500
0.8300 0.1700 0.2500
0.1672 0.5062 0.2500
0.4938 0.8328 0.2500
0.5062 0.1672 0.7500
0.8328 0.4938 0.7500
0.1417 0.8583 0.2500
0.1708 0.5116 0.7500
0.4884 0.8292 0.7500
0.5116 0.1708 0.2500
0.8292 0.4884 0.2500
0.8583 0.1417 0.7500
```